(1)
Theoretical powder diffractogram of PrTh3Pb5 for Cu Kα, 1.54184 Å, from DFT lattice parameters and positions (PBE).
Neutral-atom scattering factors, no anomalous dispersion.

Structure:
a b c (Å): 9.8356 9.8356 6.5862
angles (deg): 90.00 90.00 120.00
Sites, in units of the cell vectors:
Pr (0.0000, 0.0000, 0.0000)
Pr (0.0000, 0.0000, 0.5000)
Th (0.0000, 0.3832, 0.2500)
Th (0.0000, 0.6168, 0.7500)
Th (0.3832, 0.0000, 0.2500)
Th (0.3832, 0.3832, 0.7500)
Th (0.6168, 0.0000, 0.7500)
Th (0.6168, 0.6168, 0.2500)
Pb (0.0000, 0.2862, 0.7500)
Pb (0.0000, 0.7138, 0.2500)
Pb (0.2862, 0.0000, 0.7500)
Pb (0.2862, 0.2862, 0.2500)
Pb (0.3333, 0.6667, 0.0000)
Pb (0.3333, 0.6667, 0.5000)
Pb (0.6667, 0.3333, 0.0000)
Pb (0.6667, 0.3333, 0.5000)
Pb (0.7138, 0.0000, 0.2500)
Pb (0.7138, 0.7138, 0.7500)

Most intense lines, 5 to 70 degrees two-theta, low angle first:
2θ 30.92, d 2.892, I = 49; 2θ 31.51, d 2.839, I = 96; 2θ 32.73, d 2.736, I = 100; 2θ 46.07, d 1.970, I = 29; 2θ 56.88, d 1.619, I = 24; 2θ 65.54, d 1.424, I = 25


(2)
Theoretical powder diffractogram of TcCl4F for Cu Kα, 1.54184 Å, from DFT lattice parameters and positions (PBE).
Neutral-atom scattering factors, no anomalous dispersion.

Structure:
a b c (Å): 7.6710 7.6710 7.6710
angles (deg): 117.88 117.54 94.02
Sites, in units of the cell vectors:
Tc (0.3742, 0.1242, 0.2500)
Tc (0.6258, 0.8758, 0.7500)
Cl (0.2548, 0.2323, 0.4775)
Cl (0.2548, 0.7774, 0.0225)
Cl (0.2672, 0.2436, 0.0236)
Cl (0.2800, 0.7564, 0.5236)
Cl (0.7200, 0.2436, 0.4764)
Cl (0.7328, 0.7564, 0.9764)
Cl (0.7452, 0.2226, 0.9775)
Cl (0.7452, 0.7677, 0.5225)
F (0.1237, 0.3737, 0.7500)
F (0.8763, 0.6263, 0.2500)

Most intense lines, 5 to 70 degrees two-theta, low angle first:
2θ 14.01, d 6.322, I = 100; 2θ 22.35, d 3.977, I = 26; 2θ 23.25, d 3.826, I = 93; 2θ 26.52, d 3.361, I = 37; 2θ 28.23, d 3.161, I = 78; 2θ 47.53, d 1.913, I = 53


(3)
Theoretical powder diffractogram of Zn2GaAu2 for Cu Kα, 1.54184 Å, from DFT lattice parameters and positions (PBE).
Neutral-atom scattering factors, no anomalous dispersion.

Structure:
a b c (Å): 7.3320 7.3320 5.7195
angles (deg): 90.00 90.00 145.55
Sites, in units of the cell vectors:
Zn (0.0462, 0.9538, 0.5000)
Zn (0.1598, 0.8402, 0.8794)
Zn (0.8402, 0.1598, 0.3794)
Zn (0.9538, 0.0462, 0.0000)
Ga (0.3612, 0.6388, 0.7422)
Ga (0.6388, 0.3612, 0.2422)
Au (0.2312, 0.7688, 0.3484)
Au (0.4523, 0.5477, 0.3221)
Au (0.5477, 0.4523, 0.8221)
Au (0.7688, 0.2312, 0.8484)

Most intense lines, 5 to 70 degrees two-theta, low angle first:
2θ 26.55, d 3.357, I = 32; 2θ 29.92, d 2.986, I = 23; 2θ 31.28, d 2.860, I = 39; 2θ 38.23, d 2.354, I = 32; 2θ 41.48, d 2.177, I = 100; 2θ 41.60, d 2.171, I = 34


(4)
Theoretical powder diffractogram of Tb2ThS3 for Cu Kα, 1.54184 Å, from DFT lattice parameters and positions (PBE).
Neutral-atom scattering factors, no anomalous dispersion.

Structure:
a b c (Å): 6.8940 6.8940 6.8940
angles (deg): 146.76 131.82 59.79
Sites, in units of the cell vectors:
Tb (0.1650, 0.1650, 0.0000)
Tb (0.8350, 0.8350, 0.0000)
Th (0.5000, 0.5000, 0.0000)
S (0.0000, 0.5000, 0.5000)
S (0.3270, 0.8270, 0.5000)
S (0.6730, 0.1730, 0.5000)

Most intense lines, 5 to 70 degrees two-theta, low angle first:
2θ 27.43, d 3.252, I = 68; 2θ 27.62, d 3.230, I = 67; 2θ 31.80, d 2.814, I = 51; 2θ 31.93, d 2.803, I = 100; 2θ 45.68, d 1.986, I = 73; 2θ 54.07, d 1.696, I = 34


(5)
Theoretical powder diffractogram of CaSmPu2P4 for Cu Kα, 1.54184 Å, from DFT lattice parameters and positions (PBE).
Neutral-atom scattering factors, no anomalous dispersion.

Structure:
a b c (Å): 6.9859 6.9859 6.9859
angles (deg): 131.54 131.54 70.96
Sites, in units of the cell vectors:
Ca (0.0000, 0.0000, 0.0000)
Sm (0.5000, 0.5000, 0.0000)
Pu (0.2500, 0.7500, 0.5000)
Pu (0.7500, 0.2500, 0.5000)
P (0.0000, 0.5000, 0.5000)
P (0.2532, 0.2532, 0.0000)
P (0.5000, 0.0000, 0.5000)
P (0.7468, 0.7468, 0.0000)

Most intense lines, 5 to 70 degrees two-theta, low angle first:
2θ 27.00, d 3.302, I = 100; 2θ 31.20, d 2.867, I = 76; 2θ 31.45, d 2.844, I = 37; 2θ 44.89, d 2.019, I = 55; 2θ 53.00, d 1.728, I = 34; 2θ 55.68, d 1.651, I = 29


(6)
Theoretical powder diffractogram of RbNdCuBr5 for Cu Kα, 1.54184 Å, from DFT lattice parameters and positions (PBE).
Neutral-atom scattering factors, no anomalous dispersion.

Structure:
a b c (Å): 7.9262 7.9262 10.8085
angles (deg): 103.77 103.77 106.13
Sites, in units of the cell vectors:
Rb (0.1445, 0.8555, 0.7500)
Rb (0.8555, 0.1445, 0.2500)
Nd (0.5000, 0.5000, 0.0000)
Nd (0.5000, 0.5000, 0.5000)
Cu (0.1905, 0.8095, 0.2500)
Cu (0.8095, 0.1905, 0.7500)
Br (0.1141, 0.2623, 0.9255)
Br (0.1827, 0.5939, 0.3817)
Br (0.2623, 0.1141, 0.4255)
Br (0.4061, 0.8173, 0.1183)
Br (0.4148, 0.5852, 0.7500)
Br (0.5852, 0.4148, 0.2500)
Br (0.5939, 0.1827, 0.8817)
Br (0.7377, 0.8859, 0.5745)
Br (0.8173, 0.4061, 0.6183)
Br (0.8859, 0.7377, 0.0745)

Most intense lines, 5 to 70 degrees two-theta, low angle first:
2θ 12.30, d 7.198, I = 46; 2θ 18.11, d 4.900, I = 100; 2θ 20.31, d 4.373, I = 48; 2θ 22.76, d 3.906, I = 43; 2θ 26.50, d 3.363, I = 78; 2θ 35.47, d 2.531, I = 46


(7)
Theoretical powder diffractogram of PmMgTe2O8 for Cu Kα, 1.54184 Å, from DFT lattice parameters and positions (PBE).
Neutral-atom scattering factors, no anomalous dispersion.

Structure:
a b c (Å): 6.1906 6.1906 6.1906
angles (deg): 107.34 107.34 113.82
Sites, in units of the cell vectors:
Pm (0.0000, 0.0000, 0.0000)
Mg (0.7500, 0.2500, 0.5000)
Te (0.2500, 0.7500, 0.5000)
Te (0.5000, 0.5000, 0.0000)
O (0.0559, 0.3727, 0.3168)
O (0.0559, 0.7391, 0.6832)
O (0.1182, 0.3102, 0.8079)
O (0.2609, 0.9441, 0.3168)
O (0.5023, 0.3102, 0.1921)
O (0.6273, 0.9441, 0.6832)
O (0.6898, 0.4977, 0.8079)
O (0.6898, 0.8818, 0.1921)

Most intense lines, 5 to 70 degrees two-theta, low angle first:
2θ 24.27, d 3.667, I = 100; 2θ 30.29, d 2.951, I = 20; 2θ 31.60, d 2.832, I = 76; 2θ 34.59, d 2.593, I = 22; 2θ 47.54, d 1.912, I = 65; 2θ 60.11, d 1.539, I = 20